The following is a simulated PXRD pattern of V12PbO30. It was derived from a PBE+U-relaxed structure, using CuKα.
No peak broadening, texture or thermal motion is included.

Cell and atoms:
Cell: 7.343 8.217 10.311 Å, 70.45 90.00 77.12°
Space group P1 (No. 1)
Unique sites:
V1 0.000 0.000 0.000 x1
V2 0.024 0.903 0.693 x1
V3 0.187 0.245 0.488 x1
V4 0.214 0.133 0.190 x1
V5 0.300 0.796 0.484 x1
V6 0.416 0.330 0.713 x1
V7 0.498 0.999 0.003 x1
V8 0.522 0.904 0.694 x1
V9 0.686 0.247 0.488 x1
V10 0.719 0.128 0.191 x1
V11 0.797 0.804 0.484 x1
V12 0.913 0.341 0.703 x1
Pb1 0.368 0.565 0.996 x1
O1 0.037 0.842 0.521 x1
O2 0.064 0.786 0.058 x1
O3 0.088 0.707 0.813 x1
O4 0.151 0.438 0.371 x1
O5 0.159 0.349 0.124 x1
O6 0.165 0.307 0.660 x1
O7 0.226 0.100 0.374 x1
O8 0.232 0.062 0.020 x1
O9 0.253 0.952 0.642 x1
O10 0.299 0.801 0.324 x1
O11 0.355 0.573 0.587 x1
O12 0.413 0.354 0.869 x1
O13 0.450 0.196 0.547 x1
O14 0.478 0.081 0.169 x1
O15 0.487 0.052 0.819 x1
O16 0.539 0.842 0.522 x1
O17 0.540 0.784 0.064 x1
O18 0.550 0.706 0.817 x1
O19 0.627 0.439 0.369 x1
O20 0.665 0.345 0.124 x1
O21 0.678 0.308 0.659 x1
O22 0.722 0.098 0.376 x1
O23 0.738 0.049 0.025 x1
O24 0.771 0.940 0.648 x1
O25 0.796 0.806 0.325 x1
O26 0.855 0.576 0.590 x1
O27 0.910 0.350 0.858 x1
O28 0.946 0.208 0.531 x1
O29 0.980 0.074 0.171 x1
O30 0.986 0.048 0.813 x1

Peak list (10 most intense, 2θ = 10–80°, low angle first)
| Position (°2θ) | Rel. int. |
| --- | --- |
| 11.76 | 39 |
| 12.41 | 48 |
| 18.32 | 56 |
| 25.91 | 56 |
| 27.34 | 73 |
| 28.24 | 100 |
| 29.65 | 74 |
| 30.17 | 49 |
| 32.06 | 56 |
| 49.66 | 55 |